Diffraction record for AsW4. The powder XRD pattern is calculated, not measured: it uses the GGA-PBE geometry in Alexandria and Cu Kα X-rays.

Atomic structure:
a = 4.0744 Å, b = 4.0744 Å, c = 11.8674 Å
α = 90.00°, β = 90.00°, γ = 90.00°
Space group I4/mmm (No. 139)
Inequivalent atoms, fractional coordinates:
As1 0.0000 0.0000 0.0000 [2 per cell]
W1 0.0000 0.0000 0.3840 [4 per cell]
W2 0.0000 0.5000 0.2500 [4 per cell]

Peak list (10 most intense, 5° ≤ 2θ ≤ 70°, by angle)
hkl  Position (°2θ)  Rel. int.
0 0 2  14.93  48
1 0 1  23.08  44
1 0 3  31.52  46
1 1 2  34.61  100
1 1 4  43.80  92
1 0 5  44.16  34
2 0 0  44.47  70
2 1 3  55.53  19
2 1 5  64.47  22
2 2 0  64.71  23